[1]
Structure and simulated XRD peak list of Hf6Fe5Co (a crystal structure in Alexandria, relaxed with PBE; Cu Kα).

Structural model:
```
12
Lattice="-2.224 3.131 6.669 2.224 -3.131 6.669 2.224 3.131 -6.669" Properties=species:S:1:pos:R:3 pbc="T T T"
Hf 2.224 1.563 -2.230
Hf 0.000 1.559 0.000
Hf 2.224 1.563 2.230
Hf 0.000 1.568 4.439
Hf 0.000 4.702 0.000
Hf 0.000 1.568 8.899
Fe 2.224 0.000 0.000
Fe 0.000 0.000 2.214
Fe 2.224 0.000 4.439
Fe 0.000 3.131 2.230
Fe 0.000 0.000 11.124
Co 0.000 0.000 6.669
```

Largest 6 diffraction maxima, by angle, 10 to 90 degrees two-theta:
2θ (°), d_spacing, I (rel.)
28.38, 3.145, 31
40.57, 2.224, 50
40.66, 2.219, 100
58.72, 1.572, 17
73.88, 1.283, 34
74.07, 1.280, 17



[2]
Structure and simulated XRD peak list of Hf6FeCo (a crystal structure in Alexandria, relaxed with PBE; Cu Kα).

Structural model:
```
8
Lattice="5.335 0.000 0.000 0.038 5.357 0.000 1.397 2.655 5.513" Properties=species:S:1:pos:R:3 pbc="T T T"
Hf 1.344 0.952 1.526
Hf 2.771 6.269 5.501
Hf 2.734 3.592 3.981
Hf 4.036 4.420 1.533
Hf 3.999 1.743 0.012
Hf 5.426 7.060 3.987
Fe 3.366 1.328 2.757
Co 0.718 4.006 2.757
```

Largest 6 diffraction maxima, by angle, 10 to 90 degrees two-theta:
2θ (°), d_spacing, I (rel.)
31.07, 2.878, 83
33.46, 2.678, 65
34.53, 2.597, 94
37.15, 2.420, 100
37.37, 2.406, 96
43.92, 2.062, 86



[3]
Structure and simulated XRD peak list of Hf3FeCo8 (a crystal structure in Alexandria, relaxed with PBE; Cu Kα).

Structural model:
```
12
Lattice="2.406 1.389 7.859 -2.406 1.389 7.859 0.000 -2.778 7.859" Properties=species:S:1:pos:R:3 pbc="T T T"
Hf 0.000 0.000 0.000
Hf 0.000 0.000 3.037
Hf 0.000 0.000 12.101
Fe 0.000 0.000 14.947
Co -1.205 -0.696 9.430
Co 0.000 -1.385 5.541
Co -1.200 0.693 5.541
Co 0.000 0.000 7.480
Co 1.205 -0.696 9.430
Co 1.200 0.693 5.541
Co 0.000 1.392 9.430
Co 0.000 0.000 19.268
```

Largest 6 diffraction maxima, by angle, 10 to 90 degrees two-theta:
2θ (°), d_spacing, I (rel.)
37.38, 2.406, 62
44.14, 2.052, 100
46.22, 1.964, 17
67.43, 1.389, 20
72.13, 1.310, 28
79.72, 1.203, 21